For BaNbGaO4, the PBE geometry in Alexandria gives the computed powder diffractogram in this record (Cu Kα (λ = 1.5418 Å)).

Crystal structure
```
BaNbGaO4
1.0
0.000 4.469 4.469
4.469 0.000 4.469
4.469 4.469 0.000
Ba Nb Ga O
1 1 1 4
direct
0.000 0.000 0.000
0.250 0.250 0.250
0.500 0.500 0.500
0.372 0.372 0.372
0.372 0.372 0.885
0.372 0.885 0.372
0.885 0.372 0.372
```

Most intense lines, 10 to 90 degrees two-theta, in order of rising 2θ:
- d = 5.161 Å, 17.18 deg, I = 41
- d = 4.469 Å, 19.87 deg, I = 14
- d = 3.160 Å, 28.24 deg, I = 100
- d = 2.695 Å, 33.24 deg, I = 17
- d = 2.235 Å, 40.36 deg, I = 12
- d = 2.051 Å, 44.16 deg, I = 9
- d = 1.825 Å, 49.99 deg, I = 40
- d = 1.580 Å, 58.40 deg, I = 17
- d = 1.413 Å, 66.11 deg, I = 17
- d = 1.194 Å, 80.39 deg, I = 20